For Li2ScIn2, a GGA-PBE-relaxed structure gives the calculated powder X-ray diffraction pattern in this record (a wavelength of 1.5418 Å).

Unit cell a=7.992 b=7.992 c=3.076 alpha=90.00 beta=90.00 gamma=90.00
Space group P4/mbm (No. 127)
Symmetry-distinct sites (fractional):
Li 0.116 0.384 0.000 (multiplicity 4)
Sc 0.000 0.000 0.000 (multiplicity 2)
In 0.182 0.682 0.500 (multiplicity 4)

Largest 10 diffraction maxima, in order of rising 2θ, 2θ from 10° to 80°:
d_spacing	2θ/deg	I_rel	index
3.996	22.25	31	2 0 0
3.574	24.91	100	2 1 0
3.076	29.03	23	0 0 1
2.826	31.67	24	2 2 0
2.527	35.52	34	3 1 0
2.438	36.88	59	2 0 1
2.331	38.62	74	2 1 1
1.938	46.87	34	4 1 0
1.640	56.08	38	4 1 1
1.606	57.36	26	3 3 1

For LiSc2InTe4, a GGA-PBE-relaxed structure gives the calculated powder X-ray diffraction pattern in this record (a wavelength of 1.5418 Å).

Unit cell a=4.251 b=14.300 c=15.112 alpha=90.00 beta=90.00 gamma=90.00
Space group Cmcm (No. 63)
Symmetry-distinct sites (fractional):
Li 0.000 0.167 0.250 (multiplicity 4)
Sc 0.000 0.369 0.566 (multiplicity 8)
In 0.000 0.117 0.750 (multiplicity 4)
Te 0.000 0.000 0.000 (multiplicity 4)
Te 0.000 0.269 0.104 (multiplicity 8)
Te 0.000 0.443 0.750 (multiplicity 4)

Largest 10 diffraction maxima, in order of rising 2θ, 2θ from 10° to 80°:
d_spacing	2θ/deg	I_rel	index
3.340	26.69	85	0 2 4
3.169	28.16	70	1 1 3
3.105	28.75	100	1 3 1
2.925	30.56	68	1 3 2
2.154	41.93	26	0 6 3
2.145	42.12	40	1 5 3
2.125	42.53	32	2 0 0
1.793	50.92	28	2 2 4
1.785	51.18	26	1 3 7
1.385	67.65	20	1 9 4

For Li2ThSc2In2, a GGA-PBE-relaxed structure gives the calculated powder X-ray diffraction pattern in this record (a wavelength of 1.5418 Å).

Unit cell a=4.7596 b=4.7596 c=25.3639 alpha=90.00 beta=90.00 gamma=120.00
Space group R-3m (No. 166, hexagonal axes)
Symmetry-distinct sites (fractional):
Li 0.0000 0.0000 0.0736 (multiplicity 6)
Th 0.0000 0.0000 0.5000 (multiplicity 3)
Sc 0.0000 0.0000 0.3664 (multiplicity 6)
In 0.0000 0.0000 0.2430 (multiplicity 6)

Largest 10 diffraction maxima, in order of rising 2θ, 2θ from 10° to 80°:
d_spacing	2θ/deg	I_rel	index
8.455	10.46	56	0 0 3
4.069	21.85	80	1 0 1
3.456	25.78	100	1 0 4
2.721	32.91	62	1 0 7
2.513	35.73	88	0 1 8
2.380	37.80	88	1 1 0
1.960	46.32	21	0 2 4
1.728	52.99	28	2 0 8
1.580	58.39	21	1 1 12
1.398	66.92	27	1 2 8

For Li2Tm2ScIn2, a GGA-PBE-relaxed structure gives the calculated powder X-ray diffraction pattern in this record (a wavelength of 1.5418 Å).

Unit cell a=4.7562 b=4.7562 c=25.6151 alpha=90.00 beta=90.00 gamma=120.00
Space group R-3m (No. 166, hexagonal axes)
Symmetry-distinct sites (fractional):
Li 0.0000 0.0000 0.1132 (multiplicity 6)
Tm 0.0000 0.0000 0.3738 (multiplicity 6)
Sc 0.0000 0.0000 0.5000 (multiplicity 3)
In 0.0000 0.0000 0.2352 (multiplicity 6)

Largest 10 diffraction maxima, in order of rising 2θ, 2θ from 10° to 80°:
d_spacing	2θ/deg	I_rel	index
8.538	10.36	27	0 0 3
4.067	21.85	66	1 0 1
3.921	22.68	34	0 1 2
3.210	27.79	45	0 1 5
2.736	32.74	71	1 0 7
2.528	35.51	96	0 1 8
2.378	37.83	100	1 1 0
1.732	52.86	30	2 0 8
1.400	66.82	30	1 2 8
1.387	67.53	27	1 1 15

For Li5InSe4, a GGA-PBE-relaxed structure gives the calculated powder X-ray diffraction pattern in this record (a wavelength of 1.5418 Å).

Unit cell a=8.410 b=8.674 c=6.205 alpha=90.00 beta=90.00 gamma=90.00
Space group Pmmn (No. 59, origin choice 2)
Symmetry-distinct sites (fractional):
Li 0.012 0.035 0.250 (multiplicity 8)
Li 0.250 0.750 0.213 (multiplicity 2)
In 0.250 0.250 0.761 (multiplicity 2)
Se 0.011 0.750 0.462 (multiplicity 4)
Se 0.250 0.504 0.986 (multiplicity 4)

Largest 10 diffraction maxima, in order of rising 2θ, 2θ from 10° to 80°:
d_spacing	2θ/deg	I_rel	index
6.038	14.67	26	1 1 0
5.047	17.57	45	0 1 1
4.993	17.76	27	1 0 1
3.555	25.05	77	0 2 1
3.481	25.59	81	2 0 1
3.019	29.59	17	2 2 0
2.165	41.73	100	0 4 0
2.102	43.02	20	4 0 0
1.841	49.52	26	2 4 1
1.810	50.43	21	4 2 1

For LiIn5Se8, a GGA-PBE-relaxed structure gives the calculated powder X-ray diffraction pattern in this record (a wavelength of 1.5418 Å).

Unit cell a=11.469 b=11.469 c=11.469 alpha=90.00 beta=90.00 gamma=90.00
Space group F-43m (No. 216)
Symmetry-distinct sites (fractional):
Li 0.000 0.000 0.000 (multiplicity 4)
In 0.132 0.132 0.632 (multiplicity 16)
In 0.250 0.250 0.250 (multiplicity 4)
Se 0.115 0.115 0.385 (multiplicity 16)
Se 0.130 0.130 0.870 (multiplicity 16)

Largest 10 diffraction maxima, in order of rising 2θ, 2θ from 10° to 80°:
d_spacing	2θ/deg	I_rel	index
6.622	13.37	38	1 1 1
5.735	15.45	9	2 0 0
3.458	25.76	61	3 1 1
2.867	31.19	90	4 0 0
2.207	40.88	39	5 1 1
2.028	44.70	100	4 4 0
1.655	55.51	21	4 4 4
1.493	62.17	13	5 5 3
1.434	65.06	15	8 0 0
1.282	73.91	24	8 4 0

For Sr2LiInSe4, a GGA-PBE-relaxed structure gives the calculated powder X-ray diffraction pattern in this record (a wavelength of 1.5418 Å).

Unit cell a=8.482 b=8.596 c=11.673 alpha=90.00 beta=90.00 gamma=90.00
Space group Imma (No. 74)
Symmetry-distinct sites (fractional):
Sr 0.000 0.000 0.000 (multiplicity 4)
Sr 0.250 0.250 0.250 (multiplicity 4)
Li 0.000 0.000 0.500 (multiplicity 4)
In 0.250 0.250 0.750 (multiplicity 4)
Se 0.000 0.016 0.737 (multiplicity 8)
Se 0.237 0.250 0.516 (multiplicity 8)

Largest 10 diffraction maxima, in order of rising 2θ, 2θ from 10° to 80°:
d_spacing	2θ/deg	I_rel	index
3.019	29.59	100	2 2 0
2.918	30.63	43	0 0 4
2.149	42.04	18	0 4 0
2.121	42.64	18	4 0 0
2.098	43.11	66	2 2 4
1.731	52.91	17	0 4 4
1.715	53.41	17	4 0 4
1.509	61.42	11	4 4 0
1.341	70.20	14	4 4 4
1.314	71.86	12	2 2 8

For LiInSi, a GGA-PBE-relaxed structure gives the calculated powder X-ray diffraction pattern in this record (a wavelength of 1.5418 Å).

Unit cell a=4.642 b=7.004 c=8.314 alpha=90.00 beta=118.43 gamma=90.00
Space group P2_1/c (No. 14)
Symmetry-distinct sites (fractional):
Li 0.196 0.247 0.067 (multiplicity 4)
In 0.160 0.548 0.803 (multiplicity 4)
Si 0.442 0.632 0.572 (multiplicity 4)

Largest 10 diffraction maxima, in order of rising 2θ, 2θ from 10° to 80°:
d_spacing	2θ/deg	I_rel	index
3.858	23.06	45	1 1 -1
3.752	23.71	88	1 0 -2
3.655	24.35	31	0 0 2
3.502	25.43	45	0 2 0
3.158	28.26	50	0 2 1
2.763	32.41	100	1 1 1
2.560	35.05	44	1 2 -2
2.529	35.50	31	0 2 2
2.302	39.14	34	0 1 3
2.155	41.92	41	2 1 -1

For Li6In2Si, a GGA-PBE-relaxed structure gives the calculated powder X-ray diffraction pattern in this record (a wavelength of 1.5418 Å).

Unit cell a=8.0003 b=8.0003 c=2.9441 alpha=90.00 beta=90.00 gamma=120.00
Space group P-62m (No. 189)
Symmetry-distinct sites (fractional):
Li 0.0000 0.3453 0.0000 (multiplicity 3)
Li 0.0000 0.7208 0.5000 (multiplicity 3)
In 0.3333 0.6667 0.5000 (multiplicity 2)
Si 0.0000 0.0000 0.0000 (multiplicity 1)

Largest 10 diffraction maxima, in order of rising 2θ, 2θ from 10° to 80°:
d_spacing	2θ/deg	I_rel	index
6.928	12.78	38	1 0 0
4.000	22.22	100	1 1 0
2.710	33.06	24	1 0 1
2.371	37.95	35	1 1 1
2.309	39.00	31	3 0 0
2.243	40.20	16	2 0 1
2.000	45.34	15	2 2 0
1.957	46.41	20	2 1 1
1.817	50.21	14	3 0 1
1.512	61.31	12	4 1 0

For Li3SmIn3, a GGA-PBE-relaxed structure gives the calculated powder X-ray diffraction pattern in this record (a wavelength of 1.5418 Å).

Unit cell a=7.075 b=7.075 c=7.075 alpha=90.00 beta=90.00 gamma=90.00
Space group Pm-3n (No. 223)
Symmetry-distinct sites (fractional):
Li 0.000 0.250 0.500 (multiplicity 6)
Sm 0.000 0.000 0.000 (multiplicity 2)
In 0.000 0.500 0.250 (multiplicity 6)

Largest 10 diffraction maxima, in order of rising 2θ, 2θ from 10° to 80°:
d_spacing	2θ/deg	I_rel	index
3.538	25.17	42	2 0 0
3.164	28.20	87	2 1 0
2.889	30.96	100	2 1 1
1.962	46.26	22	3 2 0
1.891	48.12	58	3 2 1
1.769	51.68	21	4 0 0
1.582	58.32	16	4 2 0
1.544	59.91	20	4 2 1
1.314	71.85	17	5 2 0
1.292	73.28	16	5 2 1

For Li4Sm3In4, a GGA-PBE-relaxed structure gives the calculated powder X-ray diffraction pattern in this record (a wavelength of 1.5418 Å).

Unit cell a=4.866 b=7.141 c=15.270 alpha=90.00 beta=90.00 gamma=90.00
Space group Immm (No. 71)
Symmetry-distinct sites (fractional):
Li 0.000 0.187 0.173 (multiplicity 8)
Sm 0.000 0.000 0.378 (multiplicity 4)
Sm 0.000 0.500 0.500 (multiplicity 2)
In 0.000 0.295 0.000 (multiplicity 4)
In 0.000 0.500 0.284 (multiplicity 4)

Largest 10 diffraction maxima, in order of rising 2θ, 2θ from 10° to 80°:
d_spacing	2θ/deg	I_rel	index
3.570	24.94	24	0 2 0
3.517	25.32	34	1 0 3
2.829	31.63	91	1 2 1
2.808	31.87	32	0 1 5
2.769	32.34	100	1 1 4
2.433	36.94	34	2 0 0
1.877	48.49	20	0 3 5
1.839	49.57	18	2 1 5
1.486	62.49	18	2 3 5
1.462	63.67	34	1 2 9

For Li4Sm3In4, a GGA-PBE-relaxed structure gives the calculated powder X-ray diffraction pattern in this record (a wavelength of 1.5418 Å).

Unit cell a=31.394 b=3.463 c=4.985 alpha=90.00 beta=99.08 gamma=90.00
Space group C2/m (No. 12)
Symmetry-distinct sites (fractional):
Li 0.093 0.000 0.092 (multiplicity 4)
Li 0.240 0.000 0.739 (multiplicity 4)
Sm 0.000 0.500 0.000 (multiplicity 2)
Sm 0.142 0.500 0.642 (multiplicity 4)
In 0.050 0.000 0.549 (multiplicity 4)
In 0.184 0.000 0.183 (multiplicity 4)

Largest 10 diffraction maxima, in order of rising 2θ, 2θ from 10° to 80°:
d_spacing	2θ/deg	I_rel	index
5.167	17.16	69	6 0 0
3.885	22.89	66	4 0 1
2.797	32.00	100	3 1 -1
2.728	32.83	66	7 1 0
2.670	33.57	83	3 1 1
2.492	36.04	73	2 0 -2
2.453	36.63	93	10 0 1
1.964	46.22	24	13 1 0
1.840	49.54	41	9 1 -2
1.415	66.05	33	10 2 1

For Li2SmIn9, a GGA-PBE-relaxed structure gives the calculated powder X-ray diffraction pattern in this record (a wavelength of 1.5418 Å).

Unit cell a=4.579 b=4.579 c=13.960 alpha=90.00 beta=90.00 gamma=90.00
Space group P4/mmm (No. 123)
Symmetry-distinct sites (fractional):
Li 0.000 0.000 0.170 (multiplicity 2)
Sm 0.000 0.000 0.500 (multiplicity 1)
In 0.000 0.500 0.000 (multiplicity 2)
In 0.000 0.500 0.324 (multiplicity 4)
In 0.500 0.500 0.166 (multiplicity 2)
In 0.500 0.500 0.500 (multiplicity 1)

Largest 10 diffraction maxima, in order of rising 2θ, 2θ from 10° to 80°:
d_spacing	2θ/deg	I_rel	index
4.579	19.39	5	1 0 0
4.351	20.41	5	1 0 1
2.658	33.73	100	1 1 3
2.327	38.70	17	0 0 6
2.289	39.36	33	2 0 0
1.632	56.38	22	2 0 6
1.619	56.88	11	2 2 0
1.399	66.88	13	1 1 9
1.383	67.78	25	3 1 3
1.329	70.92	11	2 2 6